[1]
Starting from a structure optimized by DFT (PBE), the X-ray powder pattern of TaReMoOs was simulated for Cu Kα.

Largest 10 diffraction maxima, by angle, 2θ from 10° to 80°:
2theta  d/Å  I_rel  (hkl)
24.38  3.652  3.7  1 1 1
28.22  3.162  2.6  2 0 0
40.33  2.236  100.0  2 2 0
47.69  1.907  2.0  3 1 1
49.95  1.826  0.8  2 2 2
58.36  1.581  17.0  4 0 0
64.19  1.451  0.9  3 3 1
66.06  1.414  1.1  4 2 0
73.33  1.291  34.8  4 2 2
78.59  1.217  0.7  5 1 1

Cell and atoms:
Cell lengths 6.3249, 6.3249, 6.3249 Å; angles 90.00, 90.00, 90.00 degrees
Space group F-43m (No. 216)
Inequivalent atoms, fractional coordinates:
Ta  0.0000  0.0000  0.0000 (multiplicity 4)
Re  0.2500  0.2500  0.2500 (multiplicity 4)
Mo  0.0000  0.0000  0.5000 (multiplicity 4)
Os  0.2500  0.2500  0.7500 (multiplicity 4)



[2]
Starting from a structure optimized by DFT (PBE), the X-ray powder pattern of Ac2Mo2N5 was simulated for Cu Kα.

Largest 12 diffraction maxima, by angle, 2θ from 10° to 80°:
2theta  d/Å  I_rel  (hkl)
21.77  4.082  16.1  1 0 0
30.98  2.886  48.1  1 1 0
31.63  2.829  100.0  1 0 2
38.73  2.325  14.5  1 1 2
44.38  2.041  24.9  2 0 0
46.29  1.962  10.8  0 0 4
55.52  1.655  41.5  2 1 2
56.74  1.622  18.3  1 1 4
66.06  1.414  14.6  2 0 4
73.34  1.291  8.7  3 1 0
73.70  1.286  9.1  3 0 2
76.49  1.245  8.2  1 0 6

Cell and atoms:
Cell lengths 4.0820, 4.0820, 7.8460 Å; angles 90.00, 90.00, 90.00 degrees
Space group P4/mmm (No. 123)
Inequivalent atoms, fractional coordinates:
Ac  0.0000  0.0000  0.0000 (multiplicity 1)
Ac  0.0000  0.0000  0.5000 (multiplicity 1)
Mo  0.5000  0.5000  0.2454 (multiplicity 2)
N  0.0000  0.5000  0.2684 (multiplicity 4)
N  0.5000  0.5000  0.0000 (multiplicity 1)



[3]
Starting from a structure optimized by DFT (PBE), the X-ray powder pattern of Ti7NiIr2 was simulated for Cu Kα.

Largest 12 diffraction maxima, by angle, 2θ from 10° to 80°:
2theta  d/Å  I_rel  (hkl)
20.06  4.427  19.3  2 0 0
28.52  3.130  100.0  2 2 0
35.11  2.556  75.0  2 2 2
40.77  2.213  73.2  4 0 0
45.84  1.980  11.2  4 2 0
50.50  1.807  42.4  4 2 2
59.02  1.565  47.1  4 4 0
62.99  1.476  6.1  4 4 2
66.83  1.400  18.4  6 2 0
70.56  1.335  28.0  6 2 2
74.21  1.278  15.5  4 4 4
77.79  1.228  2.9  6 4 0

Cell and atoms:
Cell lengths 8.8534, 8.8534, 8.8534 Å; angles 90.00, 90.00, 90.00 degrees
Space group Fm-3m (No. 225)
Inequivalent atoms, fractional coordinates:
Ti  0.0000  0.0000  0.0000 (multiplicity 4)
Ti  0.0000  0.0000  0.2518 (multiplicity 24)
Ni  0.0000  0.0000  0.5000 (multiplicity 4)
Ir  0.2500  0.2500  0.2500 (multiplicity 8)



[4]
Starting from a structure optimized by DFT (PBE), the X-ray powder pattern of AcCd2GaPd2 was simulated for Cu Kα.

Largest 12 diffraction maxima, by angle, 2θ from 10° to 80°:
2theta  d/Å  I_rel  (hkl)
18.58  4.776  16.8  1 0 1
23.64  3.763  35.2  1 1 0
28.90  3.090  55.8  1 1 2
29.92  2.986  33.5  1 0 3
33.11  2.706  44.7  0 0 4
33.68  2.661  100.0  2 0 0
45.67  1.987  21.4  2 1 3
47.95  1.897  62.8  2 0 4
48.37  1.882  35.8  2 2 0
56.58  1.627  14.8  1 1 6
57.34  1.607  16.3  3 1 2
59.88  1.545  31.9  2 2 4

Cell and atoms:
Cell lengths 5.3219, 5.3219, 10.8226 Å; angles 90.00, 90.00, 90.00 degrees
Space group I4/mmm (No. 139)
Inequivalent atoms, fractional coordinates:
Ac  0.0000  0.0000  0.0000 (multiplicity 2)
Cd  0.0000  0.5000  0.2500 (multiplicity 4)
Ga  0.0000  0.0000  0.5000 (multiplicity 2)
Pd  0.0000  0.0000  0.2793 (multiplicity 4)



[5]
Starting from a structure optimized by DFT (PBE), the X-ray powder pattern of PrSm4Ho3 was simulated for Cu Kα.

Largest 12 diffraction maxima, by angle, 2θ from 10° to 80°:
2theta  d/Å  I_rel  (hkl)
28.17  3.168  23.7  0 0 2
31.01  2.883  24.6  4 0 0
32.24  2.776  100.0  2 2 1
42.39  2.132  15.8  4 0 2
49.78  1.832  6.6  0 4 0
49.91  1.827  13.1  0 2 3
55.95  1.643  20.9  6 2 1
59.82  1.546  7.6  4 4 0
59.93  1.543  15.1  4 2 3
60.58  1.528  11.0  2 4 2
60.73  1.525  5.5  2 0 4
78.16  1.223  5.2  6 4 2

Cell and atoms:
Cell lengths 11.5339, 7.3269, 6.3251 Å; angles 90.00, 90.00, 90.00 degrees
Space group Pmn2_1 (No. 31)
Inequivalent atoms, fractional coordinates:
Pr  0.0000  0.1252  0.0000 (multiplicity 2)
Sm  0.0000  0.3735  0.5037 (multiplicity 2)
Sm  0.0000  0.6275  0.9979 (multiplicity 2)
Sm  0.2468  0.6254  0.3343 (multiplicity 4)
Ho  0.0000  0.8768  0.5004 (multiplicity 2)
Ho  0.2498  0.1234  0.3337 (multiplicity 4)



[6]
Starting from a structure optimized by DFT (PBE), the X-ray powder pattern of Th8InHg2 was simulated for Cu Kα.

Largest 12 diffraction maxima, by angle, 2θ from 10° to 80°:
2theta  d/Å  I_rel  (hkl)
24.67  3.609  31.5  2 2 0
29.13  3.066  46.0  1 3 1
29.51  3.027  97.3  0 4 1
31.42  2.847  53.1  2 0 1
31.55  2.836  100.0  3 1 -1
31.92  2.804  62.6  1 1 -2
32.62  2.745  69.7  2 4 0
34.78  2.579  94.9  1 5 -1
35.25  2.546  31.0  2 2 -2
35.60  2.522  26.4  0 2 2
52.78  1.734  26.7  2 4 2
66.06  1.414  26.1  1 9 -2

Cell and atoms:
Cell lengths 8.8193, 14.6530, 5.7138 Å; angles 90.00, 109.90, 90.00 degrees
Space group C2/m (No. 12)
Inequivalent atoms, fractional coordinates:
Th  0.0000  0.2282  0.0000 (multiplicity 4)
Th  0.1014  0.5000  0.8096 (multiplicity 4)
Th  0.1896  0.1097  0.5943 (multiplicity 8)
In  0.0000  0.0000  0.0000 (multiplicity 2)
Hg  0.0000  0.3090  0.5000 (multiplicity 4)



[7]
Starting from a structure optimized by DFT (PBE), the X-ray powder pattern of YFeH5 was simulated for Cu Kα.

Largest 12 diffraction maxima, by angle, 2θ from 10° to 80°:
2theta  d/Å  I_rel  (hkl)
24.81  3.589  85.9  0 2 0
29.97  2.981  100.0  1 0 1
36.10  2.488  31.3  2 0 0
39.29  2.293  89.3  1 2 1
44.30  2.045  32.3  2 2 0
48.92  1.862  12.3  0 0 2
50.89  1.794  11.5  0 4 0
55.61  1.653  16.2  0 2 2
60.19  1.537  25.1  1 4 1
61.17  1.515  12.3  3 0 1
67.05  1.396  17.8  3 2 1
68.11  1.377  16.4  2 2 2

Cell and atoms:
Cell lengths 4.9764, 7.1779, 3.7235 Å; angles 90.00, 90.00, 90.00 degrees
Space group Imm2 (No. 44)
Inequivalent atoms, fractional coordinates:
Y  0.0000  0.0000  0.0000 (multiplicity 2)
Fe  0.0000  0.5000  0.9646 (multiplicity 2)
H  0.0000  0.2880  0.8696 (multiplicity 4)
H  0.0000  0.5000  0.4669 (multiplicity 2)
H  0.1910  0.0000  0.4952 (multiplicity 4)



[8]
Starting from a structure optimized by DFT (PBE), the X-ray powder pattern of Ce2PrScBi5 was simulated for Cu Kα.

Largest 12 diffraction maxima, by angle, 2θ from 10° to 80°:
2theta  d/Å  I_rel  (hkl)
22.09  4.023  48.9  1 1 0
23.42  3.799  42.7  1 1 1
27.02  3.300  57.4  1 1 2
28.00  3.186  45.0  1 0 3
31.00  2.884  40.4  0 0 4
31.45  2.845  100.0  2 0 0
32.20  2.780  32.2  1 1 3
42.60  2.122  29.6  2 1 3
44.74  2.025  60.1  2 0 4
45.07  2.012  37.6  2 2 0
53.34  1.718  18.5  3 1 2
55.71  1.650  32.1  2 2 4

Cell and atoms:
Cell lengths 5.6897, 5.6897, 11.5374 Å; angles 90.00, 90.00, 90.00 degrees
Space group P4/mmm (No. 123)
Inequivalent atoms, fractional coordinates:
Ce  0.0000  0.0000  0.2066 (multiplicity 2)
Pr  0.5000  0.5000  0.0000 (multiplicity 1)
Sc  0.5000  0.5000  0.5000 (multiplicity 1)
Bi  0.0000  0.0000  0.5000 (multiplicity 1)
Bi  0.0000  0.5000  0.0000 (multiplicity 2)
Bi  0.5000  0.5000  0.2638 (multiplicity 2)